Entry 1:
The following is a theoretical PXRD pattern of Ba4Al3. It was derived from a PBE-relaxed structure, using Cu Kα (λ = 1.5418 Å).
Intensities are scaled so that the largest is 100.

Largest 10 diffraction maxima, by angle, 10° ≤ 2θ ≤ 80°:
20.3 deg, d = 4.382 Å, I 28.8
28.3 deg, d = 3.151 Å, I 80.1
29.3 deg, d = 3.049 Å, I 100.0
30.9 deg, d = 2.896 Å, I 33.0
35.1 deg, d = 2.558 Å, I 22.8
41.2 deg, d = 2.191 Å, I 21.3
47.0 deg, d = 1.934 Å, I 25.1
50.7 deg, d = 1.799 Å, I 42.4
58.1 deg, d = 1.588 Å, I 17.6
66.8 deg, d = 1.400 Å, I 18.7

a b c (Å): 6.3024 6.3024 7.3511
angles (deg): 90.00 90.00 120.00
Fractional coordinates of all 7 atoms:
1 Ba 0.0000 0.0000 0.2275
2 Ba 0.0000 0.0000 0.7725
3 Ba 0.3333 0.6667 0.5000
4 Ba 0.6667 0.3333 0.5000
5 Al 0.0000 0.5000 0.0000
6 Al 0.5000 0.0000 0.0000
7 Al 0.5000 0.5000 0.0000



Entry 2:
The following is a theoretical PXRD pattern of Nd2TiSn3Pt4. It was derived from a PBE-relaxed structure, using Cu Kα (λ = 1.5418 Å).
Intensities are scaled so that the largest is 100.

Largest 10 diffraction maxima, by angle, 10° ≤ 2θ ≤ 80°:
31.9 deg, d = 2.809 Å, I 67.7
32.5 deg, d = 2.753 Å, I 100.0
39.7 deg, d = 2.268 Å, I 82.4
44.0 deg, d = 2.058 Å, I 45.5
46.8 deg, d = 1.940 Å, I 29.6
51.8 deg, d = 1.765 Å, I 35.0
57.5 deg, d = 1.604 Å, I 28.4
63.1 deg, d = 1.474 Å, I 24.6
67.6 deg, d = 1.386 Å, I 24.5
75.1 deg, d = 1.265 Å, I 19.5

a b c (Å): 4.5367 4.5367 10.7314
angles (deg): 90.00 90.00 90.00
Fractional coordinates of all 10 atoms:
1 Nd 0.0000 0.5000 0.2451
2 Nd 0.5000 0.0000 0.7549
3 Ti 0.0000 0.0000 0.5000
4 Sn 0.0000 0.5000 0.8682
5 Sn 0.5000 0.0000 0.1318
6 Sn 0.5000 0.5000 0.5000
7 Pt 0.0000 0.0000 0.0000
8 Pt 0.0000 0.5000 0.6274
9 Pt 0.5000 0.0000 0.3726
10 Pt 0.5000 0.5000 0.0000